# Ac8Cd2Os3
Theoretical powder XRD pattern, Cu Kα (weighted mean of Kα1 and Kα2). Input: a PBE-relaxed structure.
Peak positions follow from Bragg's law for the DFT cell and can differ from measured ones.

Cell lengths 8.8770, 8.8770, 7.6705 Å; angles 90.23, 90.23, 58.74 degrees
Positions (direct):
Ac1 0.1009 0.1009 0.8394
Ac2 0.1504 0.6540 0.6729
Ac3 0.3460 0.8496 0.3271
Ac4 0.3870 0.3870 0.1372
Ac5 0.6130 0.6130 0.8628
Ac6 0.6540 0.1504 0.6729
Ac7 0.8496 0.3460 0.3271
Ac8 0.8991 0.8991 0.1606
Cd1 0.2476 0.2476 0.4988
Cd2 0.7524 0.7524 0.5012
Os1 0.0000 0.0000 0.5000
Os2 0.2601 0.7399 0.0000
Os3 0.7399 0.2601 0.0000

Top 6 peaks for 2θ from 15° to 90°, in order of rising 2θ:
d = 3.435 Å, intensity 56.7
d = 3.401 Å, intensity 100.0
d = 2.717 Å, intensity 33.9
d = 2.708 Å, intensity 85.3
d = 2.205 Å, intensity 47.2
d = 2.129 Å, intensity 26.0

***

# K2Tl2Pt3
Theoretical powder XRD pattern, Cu Kα (weighted mean of Kα1 and Kα2). Input: a PBE-relaxed structure.
Peak positions follow from Bragg's law for the DFT cell and can differ from measured ones.

Cell lengths 6.5122, 6.5122, 7.4759 Å; angles 122.52, 122.52, 42.31 degrees
Positions (direct):
K1 0.1670 0.1670 0.2956
K2 0.8330 0.8330 0.7044
Tl1 0.1440 0.1440 0.7795
Tl2 0.8560 0.8560 0.2205
Pt1 0.4338 0.4338 0.0893
Pt2 0.5000 0.5000 0.5000
Pt3 0.5662 0.5662 0.9107

Top 6 peaks for 2θ from 15° to 90°, in order of rising 2θ:
d = 5.835 Å, intensity 100.0
d = 2.833 Å, intensity 71.1
d = 2.705 Å, intensity 93.6
d = 2.350 Å, intensity 61.3
d = 2.200 Å, intensity 64.3
d = 2.082 Å, intensity 52.7